Starting from DFT lattice parameters and positions (PBE), the XRD peak list of Na2TaGaSi2SO12 was computed for CuKα.

Structure:
a b c (Å): 15.284 8.928 9.207
angles (deg): 90.00 125.32 90.00
Space group Cc (No. 9)
Inequivalent atoms, fractional coordinates:
Na: 0.000 0.055 0.000 (multiplicity 4)
Na: 0.071 0.251 0.737 (multiplicity 4)
Ta: 0.214 0.249 0.187 (multiplicity 4)
Ga: 0.413 0.275 0.808 (multiplicity 4)
Si: 0.174 0.114 0.503 (multiplicity 4)
Si: 0.319 0.457 0.003 (multiplicity 4)
S: 0.464 0.099 0.506 (multiplicity 4)
O: 0.055 0.318 0.016 (multiplicity 4)
O: 0.068 0.185 0.477 (multiplicity 4)
O: 0.167 0.074 0.024 (multiplicity 4)
O: 0.175 0.136 0.323 (multiplicity 4)
O: 0.237 0.354 0.023 (multiplicity 4)
O: 0.248 0.427 0.330 (multiplicity 4)
O: 0.283 0.176 0.677 (multiplicity 4)
O: 0.369 0.177 0.341 (multiplicity 4)
O: 0.400 0.354 0.987 (multiplicity 4)
O: 0.401 0.444 0.678 (multiplicity 4)
O: 0.465 0.129 0.662 (multiplicity 4)
O: 0.469 0.059 0.978 (multiplicity 4)

The 10 most intense peaks (10 to 80 degrees two-theta), in order of rising 2θ:
| h k l | Position (°2θ) | Rel. int. |
| --- | --- | --- |
| 1 1 -1 | 13.82 | 81 |
| 2 0 -2 | 19.29 | 61 |
| 1 1 1 | 19.66 | 78 |
| 0 2 0 | 19.89 | 47 |
| 3 1 -1 | 20.07 | 100 |
| 2 2 -2 | 27.84 | 47 |
| 3 1 -3 | 30.82 | 42 |
| 0 2 2 | 31.12 | 54 |
| 3 1 1 | 31.65 | 55 |
| 3 3 -1 | 34.92 | 41 |